1.
For PmTiRhO6, a crystal structure in Alexandria, relaxed with GGA-PBE gives the calculated powder diffraction line list in this record (CuKα).

Main lines, most intense first (2θ from 15° to 90°):
| d/Å | 2θ (°) | intensity |
| --- | --- | --- |
| 3.364 | 26.5 | 100.0 |
| 1.815 | 50.3 | 37.9 |
| 2.589 | 34.6 | 30.5 |
| 2.052 | 44.1 | 23.3 |
| 1.608 | 57.3 | 22.4 |
| 1.495 | 62.1 | 11.9 |
| 1.586 | 58.2 | 10.1 |
| 1.208 | 79.3 | 8.9 |
| 1.199 | 80.0 | 8.4 |
| 4.104 | 21.7 | 7.8 |

Structural model:
a = 5.1789 Å, b = 5.1789 Å, c = 10.1739 Å
α = 90.00°, β = 90.00°, γ = 120.00°
Element x y z (fractional)
Pm 0.0000 0.0000 0.0000
Pm 0.0000 0.0000 0.5000
Ti 0.3333 0.6667 0.2500
Ti 0.6667 0.3333 0.7500
Rh 0.3333 0.6667 0.7500
Rh 0.6667 0.3333 0.2500
O 0.0014 0.3628 0.1435
O 0.0014 0.6387 0.3565
O 0.3613 0.3628 0.3565
O 0.3613 0.9986 0.1435
O 0.3628 0.0014 0.6435
O 0.3628 0.3613 0.8565
O 0.6372 0.6387 0.1435
O 0.6372 0.9986 0.3565
O 0.6387 0.0014 0.8565
O 0.6387 0.6372 0.6435
O 0.9986 0.3613 0.6435
O 0.9986 0.6372 0.8565


2.
For Pm2TlRhO6, a crystal structure in Alexandria, relaxed with GGA-PBE gives the calculated powder diffraction line list in this record (CuKα).

Main lines, most intense first (2θ from 15° to 90°):
| d/Å | 2θ (°) | intensity |
| --- | --- | --- |
| 2.911 | 30.7 | 100.0 |
| 2.858 | 31.3 | 96.9 |
| 2.796 | 32.0 | 44.0 |
| 3.002 | 29.8 | 39.0 |
| 2.046 | 44.3 | 31.8 |
| 2.033 | 44.6 | 23.9 |
| 1.645 | 55.9 | 22.6 |
| 1.617 | 57.0 | 20.0 |
| 1.683 | 54.5 | 17.9 |
| 1.832 | 49.8 | 13.1 |

Structural model:
a = 5.5935 Å, b = 6.0047 Å, c = 9.7558 Å
α = 90.00°, β = 123.54°, γ = 90.00°
Element x y z (fractional)
Pm 0.2218 0.0742 0.2497
Pm 0.2218 0.4258 0.7497
Pm 0.7782 0.5742 0.2503
Pm 0.7782 0.9258 0.7503
Tl 0.5000 0.0000 0.0000
Tl 0.5000 0.5000 0.5000
Rh 0.0000 0.0000 0.5000
Rh 0.0000 0.5000 0.0000
O 0.0977 0.2062 0.9270
O 0.0977 0.2938 0.4270
O 0.2353 0.6834 0.9341
O 0.2353 0.8166 0.4341
O 0.3693 0.0576 0.7323
O 0.3693 0.4424 0.2323
O 0.6307 0.5576 0.7677
O 0.6307 0.9424 0.2677
O 0.7647 0.1834 0.5659
O 0.7647 0.3166 0.0659
O 0.9023 0.7062 0.5730
O 0.9023 0.7938 0.0730


3.
For Pm2Ru2O7, a crystal structure in Alexandria, relaxed with GGA-PBE gives the calculated powder diffraction line list in this record (CuKα).

Main lines, most intense first (2θ from 15° to 90°):
| d/Å | 2θ (°) | intensity |
| --- | --- | --- |
| 3.008 | 29.7 | 100.0 |
| 1.842 | 49.5 | 47.0 |
| 1.571 | 58.8 | 42.8 |
| 2.605 | 34.4 | 32.4 |
| 1.195 | 80.3 | 17.2 |
| 1.165 | 82.9 | 14.0 |
| 1.504 | 61.7 | 10.0 |
| 1.302 | 72.6 | 6.8 |
| 2.390 | 37.6 | 4.3 |
| 2.005 | 45.2 | 1.7 |

Structural model:
a = 7.3679 Å, b = 7.3679 Å, c = 7.3679 Å
α = 60.00°, β = 60.00°, γ = 60.00°
Element x y z (fractional)
Pm 0.0000 0.0000 0.0000
Pm 0.0000 0.0000 0.5000
Pm 0.0000 0.5000 0.0000
Pm 0.5000 0.0000 0.0000
Ru 0.0000 0.5000 0.5000
Ru 0.5000 0.0000 0.5000
Ru 0.5000 0.5000 0.0000
Ru 0.5000 0.5000 0.5000
O 0.1250 0.1250 0.1250
O 0.1680 0.1680 0.5820
O 0.1680 0.5820 0.1680
O 0.1680 0.5820 0.5820
O 0.4180 0.4180 0.8320
O 0.4180 0.8320 0.4180
O 0.4180 0.8320 0.8320
O 0.5820 0.1680 0.1680
O 0.5820 0.1680 0.5820
O 0.5820 0.5820 0.1680
O 0.8320 0.4180 0.4180
O 0.8320 0.4180 0.8320
O 0.8320 0.8320 0.4180
O 0.8750 0.8750 0.8750


4.
For PmRuO5, a crystal structure in Alexandria, relaxed with GGA-PBE gives the calculated powder diffraction line list in this record (CuKα).

Main lines, most intense first (2θ from 15° to 90°):
| d/Å | 2θ (°) | intensity |
| --- | --- | --- |
| 3.860 | 23.0 | 100.0 |
| 3.803 | 23.4 | 55.5 |
| 1.628 | 56.5 | 33.5 |
| 2.029 | 44.7 | 25.5 |
| 2.729 | 32.8 | 25.0 |
| 3.412 | 26.1 | 21.5 |
| 2.217 | 40.7 | 21.2 |
| 2.709 | 33.1 | 17.6 |
| 1.930 | 47.1 | 16.1 |
| 1.726 | 53.1 | 15.5 |

Structural model:
a = 7.7194 Å, b = 7.7194 Å, c = 4.3707 Å
α = 90.00°, β = 90.00°, γ = 90.00°
Element x y z (fractional)
Pm 0.2500 0.2500 0.2502
Pm 0.7500 0.7500 0.7498
Ru 0.2500 0.7500 0.0000
Ru 0.7500 0.2500 0.0000
O 0.0643 0.7500 0.7657
O 0.2500 0.2500 0.7478
O 0.2500 0.5643 0.2343
O 0.2500 0.9357 0.2343
O 0.4357 0.7500 0.7657
O 0.5643 0.2500 0.2343
O 0.7500 0.0643 0.7657
O 0.7500 0.4357 0.7657
O 0.7500 0.7500 0.2522
O 0.9357 0.2500 0.2343


5.
For PmTi2RuO8, a crystal structure in Alexandria, relaxed with GGA-PBE gives the calculated powder diffraction line list in this record (CuKα).

Main lines, most intense first (2θ from 15° to 90°):
| d/Å | 2θ (°) | intensity |
| --- | --- | --- |
| 3.634 | 24.5 | 100.0 |
| 2.819 | 31.7 | 87.5 |
| 4.818 | 18.4 | 80.4 |
| 3.217 | 27.7 | 78.9 |
| 2.627 | 34.1 | 65.5 |
| 2.301 | 39.2 | 36.6 |
| 2.267 | 39.8 | 31.8 |
| 1.770 | 51.6 | 28.3 |
| 1.781 | 51.3 | 27.0 |
| 1.968 | 46.1 | 27.0 |

Structural model:
a = 4.8717 Å, b = 4.8717 Å, c = 6.6260 Å
α = 94.90°, β = 94.90°, γ = 82.67°
Element x y z (fractional)
Pm 0.0000 0.0000 0.0000
Ti 0.4446 0.4446 0.7631
Ti 0.5554 0.5554 0.2369
Ru 0.0000 0.0000 0.5000
O 0.2132 0.7840 0.2840
O 0.2160 0.7868 0.7160
O 0.2653 0.2653 0.5410
O 0.3246 0.3246 0.9892
O 0.6754 0.6754 0.0108
O 0.7347 0.7347 0.4590
O 0.7840 0.2132 0.2840
O 0.7868 0.2160 0.7160